Entry 1:
Na3U3CuTe8: calculated powder XRD pattern (a wavelength of 1.5418 Å), based on a crystal structure in Alexandria, relaxed with GGA-PBE.
Lines closer than 0.1° are merged.

```
data_Na3U3CuTe8
_chemical_formula_sum 'Na3 U3 Cu1 Te8'
_cell_length_a 8.628
_cell_length_b 8.628
_cell_length_c 9.143
_cell_angle_alpha 118.11
_cell_angle_beta 118.11
_cell_angle_gamma 60.09
_symmetry_space_group_name_H-M 'P 1'
_symmetry_Int_Tables_number 1
loop_
_symmetry_equiv_pos_as_xyz
'x,y,z'
loop_
_atom_site_label
_atom_site_type_symbol
_atom_site_fract_x
_atom_site_fract_y
_atom_site_fract_z
_atom_site_occupancy
Na1 Na 0.000 0.000 0.000 1
Na2 Na 0.000 0.500 0.000 1
Na3 Na 0.500 0.000 0.000 1
U1 U 0.000 0.500 0.500 1
U2 U 0.500 0.000 0.500 1
U3 U 0.500 0.500 0.500 1
Cu1 Cu 0.000 0.000 0.500 1
Te1 Te 0.235 0.235 0.720 1
Te2 Te 0.236 0.748 0.721 1
Te3 Te 0.252 0.764 0.279 1
Te4 Te 0.254 0.254 0.261 1
Te5 Te 0.746 0.746 0.739 1
Te6 Te 0.748 0.236 0.721 1
Te7 Te 0.764 0.252 0.279 1
Te8 Te 0.765 0.765 0.280 1
```

Top 8 peaks for 2θ from 10° to 90°, sorted by position:
- d 7.670, 2θ 11.54, I = 562
- d 3.689, 2θ 24.12, I = 179
- d 3.134, 2θ 28.48, I = 1000
- d 2.468, 2θ 36.40, I = 174
- d 2.279, 2θ 39.54, I = 384
- d 2.158, 2θ 41.86, I = 362
- d 1.777, 2θ 51.41, I = 193
- d 1.433, 2θ 65.08, I = 155

---

Entry 2:
NaVCu2Te4: calculated powder XRD pattern (a wavelength of 1.5418 Å), based on a crystal structure in Alexandria, relaxed with GGA-PBE.
Lines closer than 0.1° are merged.

```
data_NaVCu2Te4
_chemical_formula_sum 'Na1 V1 Cu2 Te4'
_cell_length_a 7.333
_cell_length_b 7.333
_cell_length_c 7.333
_cell_angle_alpha 128.15
_cell_angle_beta 128.15
_cell_angle_gamma 76.39
_symmetry_space_group_name_H-M 'P 1'
_symmetry_Int_Tables_number 1
loop_
_symmetry_equiv_pos_as_xyz
'x,y,z'
loop_
_atom_site_label
_atom_site_type_symbol
_atom_site_fract_x
_atom_site_fract_y
_atom_site_fract_z
_atom_site_occupancy
Na1 Na 0.000 0.000 0.000 1
V1 V 0.500 0.500 0.000 1
Cu1 Cu 0.250 0.750 0.500 1
Cu2 Cu 0.750 0.250 0.500 1
Te1 Te 0.145 0.578 0.000 1
Te2 Te 0.422 0.422 0.567 1
Te3 Te 0.578 0.145 0.000 1
Te4 Te 0.855 0.855 0.433 1
```

Top 8 peaks for 2θ from 10° to 90°, sorted by position:
- d 5.603, 2θ 15.82, I = 99
- d 3.563, 2θ 24.99, I = 1000
- d 2.783, 2θ 32.17, I = 94
- d 2.267, 2θ 39.76, I = 216
- d 2.143, 2θ 42.16, I = 381
- d 1.913, 2θ 47.54, I = 260
- d 1.769, 2θ 51.68, I = 113
- d 1.284, 2θ 73.82, I = 83

---

Entry 3:
Na2Tl2Cu: calculated powder XRD pattern (a wavelength of 1.5418 Å), based on a crystal structure in Alexandria, relaxed with GGA-PBE.
Lines closer than 0.1° are merged.

```
data_Na2Tl2Cu
_chemical_formula_sum 'Na4 Tl4 Cu2'
_cell_length_a 7.436
_cell_length_b 7.436
_cell_length_c 4.841
_cell_angle_alpha 90.00
_cell_angle_beta 90.00
_cell_angle_gamma 90.00
_symmetry_space_group_name_H-M 'P 1'
_symmetry_Int_Tables_number 1
loop_
_symmetry_equiv_pos_as_xyz
'x,y,z'
loop_
_atom_site_label
_atom_site_type_symbol
_atom_site_fract_x
_atom_site_fract_y
_atom_site_fract_z
_atom_site_occupancy
Na1 Na 0.145 0.355 0.000 1
Na2 Na 0.355 0.855 0.000 1
Na3 Na 0.645 0.145 0.000 1
Na4 Na 0.855 0.645 0.000 1
Tl1 Tl 0.171 0.671 0.500 1
Tl2 Tl 0.329 0.171 0.500 1
Tl3 Tl 0.671 0.829 0.500 1
Tl4 Tl 0.829 0.329 0.500 1
Cu1 Cu 0.000 0.000 0.000 1
Cu2 Cu 0.500 0.500 0.000 1
```

Top 8 peaks for 2θ from 10° to 90°, sorted by position:
- d 4.841, 2θ 18.33, I = 355
- d 3.326, 2θ 26.81, I = 491
- d 2.949, 2θ 30.31, I = 412
- d 2.741, 2θ 32.67, I = 1000
- d 2.421, 2θ 37.14, I = 215
- d 2.352, 2θ 38.27, I = 245
- d 1.957, 2θ 46.40, I = 231
- d 1.690, 2θ 54.28, I = 250

---

Entry 4:
NaTmCu4: calculated powder XRD pattern (a wavelength of 1.5418 Å), based on a crystal structure in Alexandria, relaxed with GGA-PBE.
Lines closer than 0.1° are merged.

```
data_NaTmCu4
_chemical_formula_sum 'Na1 Tm1 Cu4'
_cell_length_a 5.141
_cell_length_b 5.141
_cell_length_c 5.141
_cell_angle_alpha 60.00
_cell_angle_beta 60.00
_cell_angle_gamma 60.00
_symmetry_space_group_name_H-M 'P 1'
_symmetry_Int_Tables_number 1
loop_
_symmetry_equiv_pos_as_xyz
'x,y,z'
loop_
_atom_site_label
_atom_site_type_symbol
_atom_site_fract_x
_atom_site_fract_y
_atom_site_fract_z
_atom_site_occupancy
Na1 Na 0.000 0.000 0.000 1
Tm1 Tm 0.250 0.250 0.250 1
Cu1 Cu 0.123 0.626 0.626 1
Cu2 Cu 0.626 0.123 0.626 1
Cu3 Cu 0.626 0.626 0.123 1
Cu4 Cu 0.626 0.626 0.626 1
```

Top 8 peaks for 2θ from 10° to 90°, sorted by position:
- d 4.198, 2θ 21.16, I = 215
- d 3.636, 2θ 24.49, I = 241
- d 2.571, 2θ 34.90, I = 342
- d 2.192, 2θ 41.18, I = 1000
- d 2.099, 2θ 43.10, I = 331
- d 1.484, 2θ 62.59, I = 125
- d 1.399, 2θ 66.86, I = 304
- d 1.285, 2θ 73.71, I = 211